No. 1
The following is a computed powder XRD pattern of Nd3Ga2Cu7. It was derived from a crystal structure in Alexandria, relaxed with GGA-PBE, using copper Kα.
Neutral-atom scattering factors, no anomalous dispersion.

Main lines, by intensity (10° ≤ 2θ ≤ 90°):
| d [Å] | I_rel |
| --- | --- |
| 2.438 | 100 |
| 2.048 | 66 |
| 2.896 | 41 |
| 2.111 | 39 |
| 2.426 | 35 |
| 3.267 | 27 |
| 1.470 | 24 |
| 1.245 | 22 |
| 1.448 | 21 |
| 2.201 | 20 |
| 1.565 | 17 |
| 2.832 | 17 |

Cell and atoms:
Lattice parameters (Å, degrees): 13.853 13.853 13.853 163.00 163.00 24.13
Sites, in units of the cell vectors:
Nd 0.000 0.000 0.000
Nd 0.172 0.172 0.000
Nd 0.828 0.828 0.000
Ga 0.373 0.373 0.000
Ga 0.627 0.627 0.000
Cu 0.077 0.577 0.500
Cu 0.279 0.279 0.000
Cu 0.423 0.923 0.500
Cu 0.500 0.500 0.000
Cu 0.577 0.077 0.500
Cu 0.721 0.721 0.000
Cu 0.923 0.423 0.500

No. 2
The following is a computed powder XRD pattern of Nd3GaCu4. It was derived from a crystal structure in Alexandria, relaxed with GGA-PBE, using copper Kα.
Neutral-atom scattering factors, no anomalous dispersion.

Main lines, by intensity (10° ≤ 2θ ≤ 90°):
| d [Å] | I_rel |
| --- | --- |
| 3.093 | 100 |
| 2.696 | 48 |
| 2.327 | 33 |
| 2.070 | 32 |
| 2.108 | 32 |
| 3.613 | 27 |
| 1.546 | 24 |
| 1.984 | 16 |
| 1.757 | 14 |
| 1.484 | 11 |
| 1.453 | 10 |
| 1.956 | 10 |

Cell and atoms:
Lattice parameters (Å, degrees): 8.917 8.917 8.917 149.75 148.89 43.95
Sites, in units of the cell vectors:
Nd 0.000 0.000 0.000
Nd 0.295 0.795 0.500
Nd 0.705 0.205 0.500
Ga 0.500 0.500 0.000
Cu 0.117 0.374 0.744
Cu 0.370 0.626 0.744
Cu 0.630 0.374 0.256
Cu 0.883 0.626 0.256

No. 3
The following is a computed powder XRD pattern of Nd3Ga4Cu4. It was derived from a crystal structure in Alexandria, relaxed with GGA-PBE, using copper Kα.
Neutral-atom scattering factors, no anomalous dispersion.

Main lines, by intensity (10° ≤ 2θ ≤ 90°):
| d [Å] | I_rel |
| --- | --- |
| 2.564 | 100 |
| 2.656 | 87 |
| 2.189 | 40 |
| 2.064 | 32 |
| 2.633 | 22 |
| 1.502 | 22 |
| 2.376 | 20 |
| 2.350 | 14 |
| 1.231 | 14 |
| 1.962 | 13 |
| 1.627 | 13 |
| 3.279 | 12 |

Cell and atoms:
Lattice parameters (Å, degrees): 8.210 8.210 8.210 149.07 130.50 59.52
Sites, in units of the cell vectors:
Nd 0.000 0.000 0.000
Nd 0.365 0.865 0.500
Nd 0.635 0.135 0.500
Ga 0.216 0.216 0.000
Ga 0.315 0.500 0.815
Ga 0.685 0.500 0.185
Ga 0.784 0.784 0.000
Cu 0.018 0.332 0.686
Cu 0.354 0.668 0.686
Cu 0.646 0.332 0.314
Cu 0.982 0.668 0.314

No. 4
The following is a computed powder XRD pattern of NdGa8Cu4. It was derived from a crystal structure in Alexandria, relaxed with GGA-PBE, using copper Kα.
Neutral-atom scattering factors, no anomalous dispersion.

Main lines, by intensity (10° ≤ 2θ ≤ 90°):
| d [Å] | I_rel |
| --- | --- |
| 2.237 | 100 |
| 2.284 | 72 |
| 2.222 | 57 |
| 2.589 | 50 |
| 2.031 | 44 |
| 1.294 | 24 |
| 1.440 | 24 |
| 1.286 | 23 |
| 2.662 | 20 |
| 1.988 | 18 |
| 3.185 | 17 |
| 1.523 | 17 |

Cell and atoms:
Lattice parameters (Å, degrees): 6.826 6.826 6.826 98.75 98.75 134.09
Sites, in units of the cell vectors:
Nd 0.000 0.000 0.000
Ga 0.000 0.348 0.348
Ga 0.000 0.652 0.652
Ga 0.283 0.500 0.783
Ga 0.348 0.000 0.348
Ga 0.500 0.283 0.783
Ga 0.500 0.717 0.217
Ga 0.652 0.000 0.652
Ga 0.717 0.500 0.217
Cu 0.000 0.000 0.500
Cu 0.000 0.500 0.000
Cu 0.500 0.000 0.000
Cu 0.500 0.500 0.500

No. 5
The following is a computed powder XRD pattern of Nd5Ga5Cu2. It was derived from a crystal structure in Alexandria, relaxed with GGA-PBE, using copper Kα.
Neutral-atom scattering factors, no anomalous dispersion.

Main lines, by intensity (10° ≤ 2θ ≤ 90°):
| d [Å] | I_rel |
| --- | --- |
| 2.887 | 100 |
| 2.274 | 69 |
| 2.697 | 50 |
| 2.673 | 47 |
| 2.646 | 42 |
| 2.119 | 41 |
| 2.503 | 35 |
| 1.938 | 28 |
| 1.666 | 23 |
| 3.206 | 21 |
| 1.430 | 20 |
| 3.492 | 19 |

Cell and atoms:
Lattice parameters (Å, degrees): 8.035 8.035 11.472 128.56 128.56 30.59
Sites, in units of the cell vectors:
Nd 0.000 0.000 0.000
Nd 0.295 0.295 0.408
Nd 0.371 0.371 0.184
Nd 0.629 0.629 0.816
Nd 0.705 0.705 0.592
Ga 0.000 0.000 0.500
Ga 0.065 0.065 0.335
Ga 0.306 0.306 0.867
Ga 0.694 0.694 0.133
Ga 0.935 0.935 0.665
Cu 0.402 0.402 0.751
Cu 0.598 0.598 0.249

No. 6
The following is a computed powder XRD pattern of PrNd2Ga2Cu2. It was derived from a crystal structure in Alexandria, relaxed with GGA-PBE, using copper Kα.
Neutral-atom scattering factors, no anomalous dispersion.

Main lines, by intensity (10° ≤ 2θ ≤ 90°):
| d [Å] | I_rel |
| --- | --- |
| 2.620 | 100 |
| 2.236 | 93 |
| 2.804 | 74 |
| 3.837 | 38 |
| 1.447 | 34 |
| 1.701 | 27 |
| 1.354 | 25 |
| 1.748 | 18 |
| 1.291 | 18 |
| 1.377 | 16 |
| 1.898 | 14 |
| 1.118 | 10 |

Cell and atoms:
Lattice parameters (Å, degrees): 9.835 9.835 9.835 26.28 26.28 26.28
Sites, in units of the cell vectors:
Pr 0.000 0.000 0.000
Nd 0.125 0.125 0.125
Nd 0.875 0.875 0.875
Ga 0.264 0.264 0.264
Ga 0.736 0.736 0.736
Cu 0.399 0.399 0.399
Cu 0.601 0.601 0.601

No. 7
The following is a computed powder XRD pattern of Nd2Zn3GaCu12. It was derived from a crystal structure in Alexandria, relaxed with GGA-PBE, using copper Kα.
Neutral-atom scattering factors, no anomalous dispersion.

Main lines, by intensity (10° ≤ 2θ ≤ 90°):
| d [Å] | I_rel |
| --- | --- |
| 2.041 | 100 |
| 3.159 | 78 |
| 3.466 | 71 |
| 2.131 | 65 |
| 3.282 | 52 |
| 2.053 | 50 |
| 2.759 | 47 |
| 5.884 | 46 |
| 1.834 | 43 |
| 2.188 | 40 |
| 1.759 | 39 |
| 1.473 | 37 |

Cell and atoms:
Lattice parameters (Å, degrees): 7.539 7.539 7.539 65.57 65.57 65.57
Sites, in units of the cell vectors:
Nd 0.102 0.102 0.102
Nd 0.898 0.898 0.898
Zn 0.000 0.500 0.500
Zn 0.500 0.000 0.500
Zn 0.500 0.500 0.000
Ga 0.500 0.500 0.500
Cu 0.140 0.140 0.479
Cu 0.140 0.479 0.140
Cu 0.150 0.637 0.637
Cu 0.363 0.363 0.850
Cu 0.363 0.850 0.363
Cu 0.479 0.140 0.140
Cu 0.521 0.860 0.860
Cu 0.637 0.150 0.637
Cu 0.637 0.637 0.150
Cu 0.850 0.363 0.363
Cu 0.860 0.521 0.860
Cu 0.860 0.860 0.521

No. 8
The following is a computed powder XRD pattern of NdZnGaCu6. It was derived from a crystal structure in Alexandria, relaxed with GGA-PBE, using copper Kα.
Neutral-atom scattering factors, no anomalous dispersion.

Main lines, by intensity (10° ≤ 2θ ≤ 90°):
| d [Å] | I_rel |
| --- | --- |
| 2.218 | 100 |
| 2.438 | 88 |
| 2.280 | 79 |
| 2.735 | 76 |
| 3.067 | 59 |
| 2.119 | 56 |
| 1.844 | 47 |
| 3.265 | 37 |
| 2.008 | 34 |
| 2.252 | 33 |
| 3.023 | 28 |
| 1.981 | 27 |

Cell and atoms:
Lattice parameters (Å, degrees): 7.417 7.417 7.417 124.15 106.52 98.88
Sites, in units of the cell vectors:
Nd 0.471 0.221 0.250
Nd 0.529 0.779 0.750
Zn 0.000 0.000 0.500
Zn 0.000 0.500 0.000
Ga 0.000 0.000 0.000
Ga 0.500 0.000 0.500
Cu 0.119 0.445 0.311
Cu 0.119 0.808 0.674
Cu 0.169 0.919 0.250
Cu 0.217 0.467 0.750
Cu 0.366 0.192 0.811
Cu 0.366 0.555 0.174
Cu 0.634 0.445 0.826
Cu 0.634 0.808 0.189
Cu 0.783 0.533 0.250
Cu 0.831 0.081 0.750
Cu 0.881 0.192 0.326
Cu 0.881 0.555 0.689